No. 1
Structure and simulated X-ray powder pattern of ErTmReGe2 (a DFT-relaxed cell (GGA-PBE, OQMD); Cu Kα, 1.54184 Å).

Atomic structure:
Cell: 5.8541 5.8541 10.0522 Å, 115.88 115.88 42.11°
Element x y z (fractional)
Er 0.1859 0.1859 0.1139
Er 0.8141 0.8141 0.8861
Tm 0.0066 0.0066 0.6766
Tm 0.9934 0.9934 0.3234
Re 0.2724 0.2724 0.6318
Re 0.7276 0.7276 0.3682
Ge 0.3634 0.3634 0.4392
Ge 0.4916 0.4916 0.1249
Ge 0.5084 0.5084 0.8751
Ge 0.6366 0.6366 0.5608

The 10 most intense peaks (5 to 70 degrees two-theta), in order of rising 2θ:
2θ 10.0, I = 37
2θ 32.7, I = 41
2θ 33.3, I = 52
2θ 33.5, I = 100
2θ 34.6, I = 33
2θ 36.9, I = 80
2θ 40.2, I = 66
2θ 40.6, I = 34
2θ 43.0, I = 62
2θ 63.6, I = 30

No. 2
Structure and simulated X-ray powder pattern of TlGeTe4Au3 (a DFT-relaxed cell (GGA-PBE, OQMD); Cu Kα, 1.54184 Å).

Atomic structure:
Cell: 6.6629 6.6629 6.6629 Å, 90.00 90.00 90.00°
Element x y z (fractional)
Tl 0.0000 0.0000 0.0000
Ge 0.5000 0.5000 0.5000
Te 0.2617 0.2617 0.2617
Te 0.2617 0.7383 0.7383
Te 0.7383 0.2617 0.7383
Te 0.7383 0.7383 0.2617
Au 0.0000 0.5000 0.5000
Au 0.5000 0.0000 0.5000
Au 0.5000 0.5000 0.0000

The 10 most intense peaks (5 to 70 degrees two-theta), in order of rising 2θ:
2θ 13.3, I = 4
2θ 23.1, I = 99
2θ 26.8, I = 10
2θ 38.2, I = 100
2θ 45.1, I = 51
2θ 47.3, I = 3
2θ 55.1, I = 17
2θ 60.6, I = 21
2θ 62.3, I = 4
2θ 69.1, I = 34

No. 3
Structure and simulated X-ray powder pattern of Zr3Ni4Pd4 (a DFT-relaxed cell (GGA-PBE, OQMD); Cu Kα, 1.54184 Å).

Atomic structure:
Cell: 7.2897 7.2897 7.2897 Å, 135.56 135.56 64.66°
Element x y z (fractional)
Zr 0.0000 0.0000 0.0000
Zr 0.2500 0.7500 0.5000
Zr 0.7500 0.2500 0.5000
Ni 0.2397 0.5420 0.0000
Ni 0.4580 0.4580 0.6977
Ni 0.5420 0.2397 0.0000
Ni 0.7603 0.7603 0.3023
Pd 0.0000 0.5000 0.5000
Pd 0.2083 0.2083 0.0000
Pd 0.5000 0.0000 0.5000
Pd 0.7917 0.7917 0.0000

The 10 most intense peaks (5 to 70 degrees two-theta), in order of rising 2θ:
2θ 27.1, I = 33
2θ 29.0, I = 23
2θ 32.5, I = 100
2θ 37.2, I = 65
2θ 40.1, I = 57
2θ 44.1, I = 99
2θ 46.6, I = 50
2θ 50.2, I = 20
2θ 52.5, I = 24
2θ 55.8, I = 39

No. 4
Structure and simulated X-ray powder pattern of GdTaNO (a DFT-relaxed cell (GGA-PBE, OQMD); Cu Kα, 1.54184 Å).

Atomic structure:
Cell: 6.5470 7.6886 4.5743 Å, 90.00 90.00 90.00°
Element x y z (fractional)
Gd 0.0451 0.1296 0.0000
Gd 0.4549 0.1296 0.5000
Gd 0.5451 0.8704 0.0000
Gd 0.9549 0.8704 0.5000
Ta 0.1086 0.6317 0.0005
Ta 0.3914 0.6317 0.5005
Ta 0.6086 0.3683 0.0005
Ta 0.8914 0.3683 0.5005
N 0.0805 0.5844 0.5012
N 0.4195 0.5844 0.0012
N 0.5805 0.4156 0.5012
N 0.9195 0.4156 0.0012
O 0.0982 0.1584 0.4998
O 0.4018 0.1584 0.9998
O 0.5982 0.8416 0.4998
O 0.9018 0.8416 0.9998

The 10 most intense peaks (5 to 70 degrees two-theta), in order of rising 2θ:
2θ 26.9, I = 37
2θ 27.2, I = 20
2θ 33.4, I = 100
2θ 33.7, I = 37
2θ 39.4, I = 30
2θ 47.3, I = 16
2θ 47.9, I = 23
2θ 48.3, I = 15
2θ 59.3, I = 16
2θ 63.7, I = 20